# 1
# KPm2AuO5
Theoretical XRD peak list, Cu Kα (λ = 1.5418 Å). Input: a cell relaxed with GGA-PBE.
Neutral-atom scattering factors, no anomalous dispersion.

Principal peaks in the range 5 to 70 degrees two-theta, low angle first:
two_theta  I_rel  hkl
18.5  50  1 1 0
29.4  16  2 1 0
29.8  37  0 0 2
30.3  100  2 0 1
33.1  41  2 1 1
37.4  24  2 2 0
42.4  32  2 1 2
44.8  38  3 1 1
48.6  22  2 2 2
53.2  21  2 0 3

Crystal structure
```
data_KPm2AuO5
_symmetry_space_group_name_H-M 'P 4/m b m'
_symmetry_Int_Tables_number 127
_symmetry_space_group_name_Hall '-P 4 2ab'
_cell_length_a 6.7926
_cell_length_b 6.7926
_cell_length_c 5.9902
_cell_angle_alpha 90.00
_cell_angle_beta 90.00
_cell_angle_gamma 90.00
loop_
_atom_site_label
_atom_site_fract_x
_atom_site_fract_y
_atom_site_fract_z
_atom_site_occupancy
K1 0.0000 0.0000 0.0000 1
Pm1 0.1781 0.3219 0.5000 1
Au1 0.0000 0.5000 0.0000 1
O1 0.0000 0.0000 0.5000 1
O2 0.1344 0.6344 0.2579 1
```

# 2
# K4Pu3AuO12
Theoretical XRD peak list, Cu Kα (λ = 1.5418 Å). Input: a cell relaxed with GGA-PBE.
Neutral-atom scattering factors, no anomalous dispersion.

Principal peaks in the range 5 to 70 degrees two-theta, low angle first:
two_theta  I_rel  hkl
14.5  1  1 1 0
20.6  75  2 0 0
29.3  100  2 2 0
36.1  12  2 2 2
41.9  30  4 0 0
47.2  36  4 2 0
52.0  41  4 2 2
60.8  19  4 4 0
64.9  18  6 0 0
68.9  19  6 2 0

Crystal structure
```
data_K4Pu3AuO12
_symmetry_space_group_name_H-M 'I m -3 m'
_symmetry_Int_Tables_number 229
_symmetry_space_group_name_Hall '-I 4 2 3'
_cell_length_a 8.6202
_cell_length_b 8.6202
_cell_length_c 8.6202
_cell_angle_alpha 90.00
_cell_angle_beta 90.00
_cell_angle_gamma 90.00
loop_
_atom_site_label
_atom_site_fract_x
_atom_site_fract_y
_atom_site_fract_z
_atom_site_occupancy
K1 0.2500 0.2500 0.2500 1
Pu1 0.0000 0.0000 0.5000 1
Au1 0.0000 0.0000 0.0000 1
O1 0.0000 0.0000 0.2798 1
O2 0.0000 0.2500 0.5000 1
```

# 3
# KRb5Au2O
Theoretical XRD peak list, Cu Kα (λ = 1.5418 Å). Input: a cell relaxed with GGA-PBE.
Neutral-atom scattering factors, no anomalous dispersion.

Principal peaks in the range 5 to 70 degrees two-theta, low angle first:
two_theta  I_rel  hkl
15.4  14  1 1 0
22.1  19  1 1 2
27.1  100  2 0 2
31.2  37  2 2 0
31.7  18  0 0 4
44.7  13  4 0 0
45.0  26  2 2 4
53.0  29  4 2 2
53.6  14  2 0 6
55.8  13  4 0 4

Crystal structure
```
data_KRb5Au2O
_symmetry_space_group_name_H-M 'I 4 m m'
_symmetry_Int_Tables_number 107
_symmetry_space_group_name_Hall 'I 4 -2'
_cell_length_a 8.1168
_cell_length_b 8.1168
_cell_length_c 11.3003
_cell_angle_alpha 90.00
_cell_angle_beta 90.00
_cell_angle_gamma 90.00
loop_
_atom_site_label
_atom_site_fract_x
_atom_site_fract_y
_atom_site_fract_z
_atom_site_occupancy
K1 0.0000 0.0000 0.0000 1
Rb1 0.0000 0.0000 0.5344 1
Rb2 0.2360 0.2360 0.7711 1
Au1 0.0000 0.5000 0.0189 1
O1 0.0000 0.0000 0.7721 1
```

# 4
# KRbAuO2
Theoretical XRD peak list, Cu Kα (λ = 1.5418 Å). Input: a cell relaxed with GGA-PBE.
Neutral-atom scattering factors, no anomalous dispersion.

Principal peaks in the range 5 to 70 degrees two-theta, low angle first:
two_theta  I_rel  hkl
13.2  72  0 2 0
19.9  90  2 0 0
23.0  44  0 2 1
26.7  50  0 4 0
27.5  54  2 0 1
30.6  100  2 2 1
38.7  47  2 4 1
40.5  66  4 0 0
45.5  32  2 2 2
58.6  34  4 2 2

Crystal structure
```
data_KRbAuO2
_symmetry_space_group_name_H-M 'C m m e'
_symmetry_Int_Tables_number 67
_symmetry_space_group_name_Hall '-C 2a 2'
_cell_length_a 8.9135
_cell_length_b 13.3734
_cell_length_c 4.7286
_cell_angle_alpha 90.00
_cell_angle_beta 90.00
_cell_angle_gamma 90.00
loop_
_atom_site_label
_atom_site_fract_x
_atom_site_fract_y
_atom_site_fract_z
_atom_site_occupancy
K1 0.2500 0.0000 0.0000 1
Rb1 0.0000 0.2500 0.2314 1
Au1 0.0000 0.0000 0.5000 1
O1 0.0000 0.1094 0.7716 1
```

# 5
# K4Rb3Au3O2
Theoretical XRD peak list, Cu Kα (λ = 1.5418 Å). Input: a cell relaxed with GGA-PBE.
Neutral-atom scattering factors, no anomalous dispersion.

Principal peaks in the range 5 to 70 degrees two-theta, low angle first:
two_theta  I_rel  hkl
16.2  24  0 1 1
23.1  78  1 1 0
26.4  42  1 1 4
30.0  100  1 1 6
31.8  26  0 0 10
32.1  35  0 2 0
33.7  31  2 0 0
47.2  23  2 2 0
55.9  22  1 3 6
58.1  33  2 2 10

Crystal structure
```
data_K4Rb3Au3O2
_symmetry_space_group_name_H-M 'I m m m'
_symmetry_Int_Tables_number 71
_symmetry_space_group_name_Hall '-I 2 2'
_cell_length_a 5.3161
_cell_length_b 5.5804
_cell_length_c 28.1228
_cell_angle_alpha 90.00
_cell_angle_beta 90.00
_cell_angle_gamma 90.00
loop_
_atom_site_label
_atom_site_fract_x
_atom_site_fract_y
_atom_site_fract_z
_atom_site_occupancy
K1 0.0000 0.0000 0.1008 1
K2 0.0000 0.5000 0.3071 1
Rb1 0.0000 0.0000 0.4024 1
Rb2 0.0000 0.5000 0.5000 1
Au1 0.0000 0.5000 0.0000 1
Au2 0.0000 0.5000 0.1856 1
O1 0.0000 0.5000 0.3984 1
```

# 6
# K4RbAuO
Theoretical XRD peak list, Cu Kα (λ = 1.5418 Å). Input: a cell relaxed with GGA-PBE.
Neutral-atom scattering factors, no anomalous dispersion.

Principal peaks in the range 5 to 70 degrees two-theta, low angle first:
two_theta  I_rel  hkl
10.5  100  0 0 1
12.6  33  2 0 0
13.0  33  1 1 -1
16.9  94  0 2 0
19.3  33  2 0 1
19.6  34  3 1 -1
25.7  88  4 0 -2
31.0  56  1 1 -3
31.1  41  3 3 -1
35.4  29  1 3 2

Crystal structure
```
data_K4RbAuO
_symmetry_space_group_name_H-M 'C 1 2/m 1'
_symmetry_Int_Tables_number 12
_symmetry_space_group_name_Hall '-C 2y'
_cell_length_a 15.2996
_cell_length_b 10.5203
_cell_length_c 9.2107
_cell_angle_alpha 90.00
_cell_angle_beta 113.23
_cell_angle_gamma 90.00
loop_
_atom_site_label
_atom_site_fract_x
_atom_site_fract_y
_atom_site_fract_z
_atom_site_occupancy
K1 0.0548 0.0000 0.3815 1
K2 0.1514 0.0000 0.9818 1
K3 0.2311 0.1826 0.7011 1
Rb1 0.0217 0.5000 0.7528 1
Au1 0.2024 0.5000 0.5872 1
O1 0.1258 0.0000 0.6955 1
```